Structure and calculated X-ray diffraction stick pattern of ZrTi7Al4 (a structure optimized by DFT (PBE); Cu Kα, 1.54184 Å).
No peak broadening, texture or thermal motion is included.

Most intense lines, 2θ = 10–90°, low angle first:
hkl	2θ/deg	I_rel
1 0 -1	21.1	23.2
0 1 3	35.8	28.2
1 0 3	37.4	80.7
2 1 0	38.0	40.4
1 0 -3	38.6	32.7
0 2 -1	38.8	62.6
2 -1 0	41.4	50.0
1 2 2	41.5	100.0

Structural model:
Lattice parameters (Å, degrees): 5.1054 5.1314 8.1071 81.99 87.07 83.75
Space group P-1 (No. 2)
Unique sites:
Zr 0.0000 0.0000 0.0000
Ti 0.0000 0.5000 0.0000
Ti 0.1275 0.7057 0.3394
Ti 0.3761 0.2554 0.5453
Ti 0.4852 0.3342 0.8782
Al 0.1518 0.7556 0.6686
Al 0.3706 0.1634 0.2155